Structure and simulated powder diffraction line list of Cs8K3Rb (a structure optimized by DFT (GGA-PBE); Cu Kα X-rays).

Structure:
```
data_Cs8K3Rb
_chemical_formula_sum 'Cs8 K3 Rb1'
_symmetry_space_group_name_H-M 'P 1'
_symmetry_Int_Tables_number 1
_cell_length_a 9.1377
_cell_length_b 9.1377
_cell_length_c 16.9595
_cell_angle_alpha 90.00
_cell_angle_beta 90.00
_cell_angle_gamma 120.00
loop_
_symmetry_equiv_pos_as_xyz
'x,y,z'
loop_
_atom_site_label
_atom_site_fract_x
_atom_site_fract_y
_atom_site_fract_z
Cs1 0.0000 0.3306 0.2372
Cs2 0.0000 0.6694 0.7628
Cs3 0.3306 0.0000 0.2372
Cs4 0.3306 0.3306 0.7628
Cs5 0.3333 0.6667 0.5000
Cs6 0.6667 0.3333 0.5000
Cs7 0.6694 0.0000 0.7628
Cs8 0.6694 0.6694 0.2372
K1 0.0000 0.0000 0.0000
K2 0.3333 0.6667 0.0000
K3 0.6667 0.3333 0.0000
Rb1 0.0000 0.0000 0.5000
```

Top 12 peaks for 2θ from 10° to 80°, in order of rising 2θ:
2theta	Rel. int.
20.13	86
20.95	37
22.10	100
25.06	44
32.89	25
33.99	35
37.41	26
40.27	40
40.91	19
42.68	15
54.21	16
55.63	22

=====

Structure and simulated powder diffraction line list of Cs6K6Rb (a structure optimized by DFT (GGA-PBE); Cu Kα X-rays).

Structure:
```
data_Cs6K6Rb
_chemical_formula_sum 'Cs6 K6 Rb1'
_symmetry_space_group_name_H-M 'P 1'
_symmetry_Int_Tables_number 1
_cell_length_a 12.4808
_cell_length_b 12.4808
_cell_length_c 12.4808
_cell_angle_alpha 136.73
_cell_angle_beta 99.31
_cell_angle_gamma 96.33
loop_
_symmetry_equiv_pos_as_xyz
'x,y,z'
loop_
_atom_site_label
_atom_site_fract_x
_atom_site_fract_y
_atom_site_fract_z
Cs1 0.1580 0.1580 0.0000
Cs2 0.1595 0.5000 0.6595
Cs3 0.3248 0.0000 0.3248
Cs4 0.6752 0.0000 0.6752
Cs5 0.8405 0.5000 0.3405
Cs6 0.8420 0.8420 0.0000
K1 0.0000 0.0000 0.5000
K2 0.0000 0.5000 0.0000
K3 0.2637 0.7637 0.5000
K4 0.5000 0.0000 0.0000
K5 0.5000 0.5000 0.5000
K6 0.7363 0.2363 0.5000
Rb1 0.5000 0.5000 0.0000
```

Top 12 peaks for 2θ from 10° to 80°, in order of rising 2θ:
2theta	Rel. int.
15.34	30
19.09	100
19.29	50
21.35	30
21.69	41
21.90	81
22.06	48
24.08	53
24.70	55
37.74	59
37.86	26
38.74	32

=====

Structure and simulated powder diffraction line list of Cs6K7Rb (a structure optimized by DFT (GGA-PBE); Cu Kα X-rays).

Structure:
```
data_Cs6K7Rb
_chemical_formula_sum 'Cs12 K14 Rb2'
_symmetry_space_group_name_H-M 'P 1'
_symmetry_Int_Tables_number 1
_cell_length_a 19.7769
_cell_length_b 19.7769
_cell_length_c 19.7769
_cell_angle_alpha 153.57
_cell_angle_beta 56.96
_cell_angle_gamma 130.52
loop_
_symmetry_equiv_pos_as_xyz
'x,y,z'
loop_
_atom_site_label
_atom_site_fract_x
_atom_site_fract_y
_atom_site_fract_z
Cs1 0.0390 0.4174 0.1145
Cs2 0.1127 0.2435 0.3563
Cs3 0.1971 0.0826 0.6217
Cs4 0.3029 0.9246 0.8855
Cs5 0.3873 0.7435 0.1308
Cs6 0.4610 0.5754 0.3783
Cs7 0.5390 0.4246 0.6217
Cs8 0.6127 0.2565 0.8692
Cs9 0.6971 0.0754 0.1145
Cs10 0.8029 0.9174 0.3783
Cs11 0.8873 0.7565 0.6437
Cs12 0.9610 0.5826 0.8855
K1 0.0204 0.7547 0.7751
K2 0.1098 0.2604 0.6282
K3 0.1321 0.7604 0.1506
K4 0.2500 0.2500 0.0000
K5 0.3679 0.5185 0.6282
K6 0.3902 0.0185 0.1506
K7 0.4796 0.2547 0.7342
K8 0.5204 0.7453 0.2658
K9 0.6098 0.9815 0.8494
K10 0.6321 0.4815 0.3718
K11 0.7500 0.7500 0.0000
K12 0.8679 0.2396 0.8494
K13 0.8902 0.7396 0.3718
K14 0.9796 0.2453 0.2249
Rb1 0.2500 0.7500 0.5000
Rb2 0.7500 0.2500 0.5000
```

Top 12 peaks for 2θ from 10° to 80°, in order of rising 2θ:
2theta	Rel. int.
10.18	29
19.53	100
19.64	22
20.44	43
22.15	61
23.34	14
24.35	73
32.00	15
34.29	35
37.37	19
38.22	16
43.71	19

=====

Structure and simulated powder diffraction line list of CsK2Rb12 (a structure optimized by DFT (GGA-PBE); Cu Kα X-rays).

Structure:
```
data_CsK2Rb12
_chemical_formula_sum 'Cs2 K4 Rb24'
_symmetry_space_group_name_H-M 'P 1'
_symmetry_Int_Tables_number 1
_cell_length_a 9.0946
_cell_length_b 9.0946
_cell_length_c 35.8813
_cell_angle_alpha 90.00
_cell_angle_beta 90.00
_cell_angle_gamma 90.00
loop_
_symmetry_equiv_pos_as_xyz
'x,y,z'
loop_
_atom_site_label
_atom_site_fract_x
_atom_site_fract_y
_atom_site_fract_z
Cs1 0.2500 0.7500 0.0000
Cs2 0.7500 0.2500 0.0000
K1 0.2500 0.7500 0.2801
K2 0.2500 0.7500 0.7199
K3 0.7500 0.2500 0.2801
K4 0.7500 0.2500 0.7199
Rb1 0.9997 0.0003 0.1161
Rb2 0.0003 0.9997 0.8839
Rb3 0.0003 0.5003 0.1161
Rb4 0.9997 0.4997 0.8839
Rb5 0.0714 0.5714 0.4392
Rb6 0.0714 0.9286 0.5608
Rb7 0.2500 0.2500 0.2177
Rb8 0.2500 0.2500 0.3413
Rb9 0.2500 0.2500 0.6587
Rb10 0.2500 0.2500 0.7823
Rb11 0.4286 0.5714 0.5608
Rb12 0.4286 0.9286 0.4392
Rb13 0.4997 0.9997 0.1161
Rb14 0.5003 0.0003 0.8839
Rb15 0.5003 0.4997 0.1161
Rb16 0.4997 0.5003 0.8839
Rb17 0.5714 0.0714 0.5608
Rb18 0.5714 0.4286 0.4392
Rb19 0.7500 0.7500 0.2177
Rb20 0.7500 0.7500 0.3413
Rb21 0.7500 0.7500 0.6587
Rb22 0.7500 0.7500 0.7823
Rb23 0.9286 0.0714 0.4392
Rb24 0.9286 0.4286 0.5608
```

Top 12 peaks for 2θ from 10° to 80°, in order of rising 2θ:
2theta	Rel. int.
14.63	84
20.15	53
20.90	100
21.92	90
22.18	99
22.30	79
23.13	69
24.59	49
26.20	35
27.74	93
35.86	85
45.91	44

=====

Structure and simulated powder diffraction line list of Cs2K5Rb (a structure optimized by DFT (GGA-PBE); Cu Kα X-rays).

Structure:
```
data_Cs2K5Rb
_chemical_formula_sum 'Cs2 K5 Rb1'
_symmetry_space_group_name_H-M 'P 1'
_symmetry_Int_Tables_number 1
_cell_length_a 9.5766
_cell_length_b 9.5766
_cell_length_c 10.6868
_cell_angle_alpha 123.91
_cell_angle_beta 123.91
_cell_angle_gamma 68.11
loop_
_symmetry_equiv_pos_as_xyz
'x,y,z'
loop_
_atom_site_label
_atom_site_fract_x
_atom_site_fract_y
_atom_site_fract_z
Cs1 0.0000 0.0000 0.0000
Cs2 0.5018 0.5018 0.4996
K1 0.0210 0.4778 0.9779
K2 0.0228 0.4796 0.5207
K3 0.4778 0.0210 0.9779
K4 0.4796 0.0228 0.5207
K5 0.5339 0.5339 0.0332
Rb1 0.9611 0.9611 0.4598
```

Top 12 peaks for 2θ from 10° to 80°, in order of rising 2θ:
2theta	Rel. int.
11.69	12
15.10	9
16.56	18
19.14	11
22.49	100
23.50	46
28.05	10
30.48	16
33.42	9
33.54	9
38.84	22
40.71	42

=====

Structure and simulated powder diffraction line list of Cs2K6Rb9 (a structure optimized by DFT (GGA-PBE); Cu Kα X-rays).

Structure:
```
data_Cs2K6Rb9
_chemical_formula_sum 'Cs2 K6 Rb9'
_symmetry_space_group_name_H-M 'P 1'
_symmetry_Int_Tables_number 1
_cell_length_a 9.2970
_cell_length_b 9.2970
_cell_length_c 23.4726
_cell_angle_alpha 90.00
_cell_angle_beta 90.00
_cell_angle_gamma 120.00
loop_
_symmetry_equiv_pos_as_xyz
'x,y,z'
loop_
_atom_site_label
_atom_site_fract_x
_atom_site_fract_y
_atom_site_fract_z
Cs1 0.0000 0.0000 0.1620
Cs2 0.0000 0.0000 0.8380
K1 0.3333 0.6667 0.1659
K2 0.3333 0.6667 0.5000
K3 0.3333 0.6667 0.8341
K4 0.6667 0.3333 0.1659
K5 0.6667 0.3333 0.5000
K6 0.6667 0.3333 0.8341
Rb1 0.0000 0.5000 0.0000
Rb2 0.0000 0.5000 0.3309
Rb3 0.0000 0.5000 0.6691
Rb4 0.5000 0.0000 0.0000
Rb5 0.5000 0.0000 0.3309
Rb6 0.5000 0.0000 0.6691
Rb7 0.5000 0.5000 0.0000
Rb8 0.5000 0.5000 0.3309
Rb9 0.5000 0.5000 0.6691
```

Top 12 peaks for 2θ from 10° to 80°, in order of rising 2θ:
2theta	Rel. int.
15.79	56
22.08	71
22.24	100
22.73	44
24.87	54
31.54	21
31.90	55
35.36	29
38.74	32
39.62	21
45.39	39
53.45	17

=====

Structure and simulated powder diffraction line list of CsK2Rb6 (a structure optimized by DFT (GGA-PBE); Cu Kα X-rays).

Structure:
```
data_CsK2Rb6
_chemical_formula_sum 'Cs1 K2 Rb6'
_symmetry_space_group_name_H-M 'P 1'
_symmetry_Int_Tables_number 1
_cell_length_a 8.4205
_cell_length_b 8.4205
_cell_length_c 21.5239
_cell_angle_alpha 98.10
_cell_angle_beta 98.10
_cell_angle_gamma 32.87
loop_
_symmetry_equiv_pos_as_xyz
'x,y,z'
loop_
_atom_site_label
_atom_site_fract_x
_atom_site_fract_y
_atom_site_fract_z
Cs1 0.0000 0.0000 0.0000
K1 0.3299 0.3299 0.3369
K2 0.6701 0.6701 0.6631
Rb1 0.0430 0.0430 0.2359
Rb2 0.2817 0.2817 0.1154
Rb3 0.3808 0.3808 0.5573
Rb4 0.6192 0.6192 0.4427
Rb5 0.7183 0.7183 0.8846
Rb6 0.9570 0.9570 0.7641
```

Top 12 peaks for 2θ from 10° to 80°, in order of rising 2θ:
2theta	Rel. int.
19.71	61
21.38	69
21.49	24
22.03	62
22.17	60
25.12	100
29.24	45
37.74	53
39.76	16
43.58	24
43.82	32
44.18	37

=====

Structure and simulated powder diffraction line list of Cs7K16Rb6 (a structure optimized by DFT (GGA-PBE); Cu Kα X-rays).

Structure:
```
data_Cs7K16Rb6
_chemical_formula_sum 'Cs7 K16 Rb6'
_symmetry_space_group_name_H-M 'P 1'
_symmetry_Int_Tables_number 1
_cell_length_a 15.4738
_cell_length_b 15.4738
_cell_length_c 15.4738
_cell_angle_alpha 60.00
_cell_angle_beta 60.00
_cell_angle_gamma 60.00
loop_
_symmetry_equiv_pos_as_xyz
'x,y,z'
loop_
_atom_site_label
_atom_site_fract_x
_atom_site_fract_y
_atom_site_fract_z
Cs1 0.0000 0.0000 0.0000
Cs2 0.0000 0.0000 0.5000
Cs3 0.0000 0.5000 0.0000
Cs4 0.0000 0.5000 0.5000
Cs5 0.5000 0.0000 0.0000
Cs6 0.5000 0.0000 0.5000
Cs7 0.5000 0.5000 0.0000
K1 0.0150 0.3283 0.3283
K2 0.1199 0.1199 0.1199
K3 0.1199 0.1199 0.6403
K4 0.1199 0.6403 0.1199
K5 0.3283 0.0150 0.3283
K6 0.3283 0.3283 0.0150
K7 0.3283 0.3283 0.3283
K8 0.3597 0.8801 0.8801
K9 0.6403 0.1199 0.1199
K10 0.6717 0.6717 0.6717
K11 0.6717 0.6717 0.9850
K12 0.6717 0.9850 0.6717
K13 0.8801 0.3597 0.8801
K14 0.8801 0.8801 0.3597
K15 0.8801 0.8801 0.8801
K16 0.9850 0.6717 0.6717
Rb1 0.2947 0.2947 0.7053
Rb2 0.2947 0.7053 0.2947
Rb3 0.2947 0.7053 0.7053
Rb4 0.7053 0.2947 0.2947
Rb5 0.7053 0.2947 0.7053
Rb6 0.7053 0.7053 0.2947
```

Top 12 peaks for 2θ from 10° to 80°, in order of rising 2θ:
2theta	Rel. int.
14.02	13
16.20	32
19.88	17
21.10	29
22.99	100
27.03	28
32.74	12
36.73	15
40.38	25
42.95	16
49.27	18
65.53	15

=====

Structure and simulated powder diffraction line list of Cs2K9Rb (a structure optimized by DFT (GGA-PBE); Cu Kα X-rays).

Structure:
```
data_Cs2K9Rb
_chemical_formula_sum 'Cs2 K9 Rb1'
_symmetry_space_group_name_H-M 'P 1'
_symmetry_Int_Tables_number 1
_cell_length_a 6.8507
_cell_length_b 6.8507
_cell_length_c 20.4915
_cell_angle_alpha 90.00
_cell_angle_beta 90.00
_cell_angle_gamma 90.00
loop_
_symmetry_equiv_pos_as_xyz
'x,y,z'
loop_
_atom_site_label
_atom_site_fract_x
_atom_site_fract_y
_atom_site_fract_z
Cs1 0.0000 0.0000 0.1708
Cs2 0.0000 0.0000 0.8292
K1 0.0000 0.5000 0.0000
K2 0.0000 0.5000 0.3408
K3 0.0000 0.5000 0.6592
K4 0.5000 0.0000 0.0000
K5 0.5000 0.0000 0.3408
K6 0.5000 0.0000 0.6592
K7 0.5000 0.5000 0.1704
K8 0.5000 0.5000 0.5000
K9 0.5000 0.5000 0.8296
Rb1 0.0000 0.0000 0.5000
```

Top 12 peaks for 2θ from 10° to 80°, in order of rising 2θ:
2theta	Rel. int.
12.94	24
18.33	22
22.50	100
26.04	52
29.18	15
32.03	12
37.16	38
43.87	45
45.93	13
58.81	18
60.45	11
71.60	10

=====

Structure and simulated powder diffraction line list of Cs3K4Rb7 (a structure optimized by DFT (GGA-PBE); Cu Kα X-rays).

Structure:
```
data_Cs3K4Rb7
_chemical_formula_sum 'Cs3 K4 Rb7'
_symmetry_space_group_name_H-M 'P 1'
_symmetry_Int_Tables_number 1
_cell_length_a 12.6929
_cell_length_b 12.6929
_cell_length_c 16.8561
_cell_angle_alpha 126.63
_cell_angle_beta 126.63
_cell_angle_gamma 36.41
loop_
_symmetry_equiv_pos_as_xyz
'x,y,z'
loop_
_atom_site_label
_atom_site_fract_x
_atom_site_fract_y
_atom_site_fract_z
Cs1 0.0000 0.0000 0.0000
Cs2 0.0739 0.0739 0.7830
Cs3 0.9261 0.9261 0.2170
K1 0.2856 0.2856 0.1477
K2 0.4244 0.4244 0.7143
K3 0.5756 0.5756 0.2857
K4 0.7144 0.7144 0.8523
Rb1 0.1496 0.1496 0.5726
Rb2 0.2181 0.2181 0.3603
Rb3 0.3540 0.3540 0.9338
Rb4 0.5000 0.5000 0.5000
Rb5 0.6460 0.6460 0.0662
Rb6 0.7819 0.7819 0.6397
Rb7 0.8504 0.8504 0.4274
```

Top 12 peaks for 2θ from 10° to 80°, in order of rising 2θ:
2theta	Rel. int.
22.25	100
22.41	49
31.42	10
31.91	20
38.94	22
39.24	43
45.39	14
50.78	9
51.44	10
51.52	10
61.60	11
61.82	11

=====

Structure and simulated powder diffraction line list of Cs4K5Rb2 (a structure optimized by DFT (GGA-PBE); Cu Kα X-rays).

Structure:
```
data_Cs4K5Rb2
_chemical_formula_sum 'Cs4 K5 Rb2'
_symmetry_space_group_name_H-M 'P 1'
_symmetry_Int_Tables_number 1
_cell_length_a 16.8278
_cell_length_b 16.8278
_cell_length_c 12.5496
_cell_angle_alpha 93.74
_cell_angle_beta 93.74
_cell_angle_gamma 16.48
loop_
_symmetry_equiv_pos_as_xyz
'x,y,z'
loop_
_atom_site_label
_atom_site_fract_x
_atom_site_fract_y
_atom_site_fract_z
Cs1 0.0478 0.0478 0.3447
Cs2 0.2677 0.2677 0.1852
Cs3 0.7323 0.7323 0.8148
Cs4 0.9522 0.9522 0.6553
K1 0.1282 0.1282 0.0469
K2 0.1851 0.1851 0.4722
K3 0.5000 0.5000 0.0000
K4 0.8149 0.8149 0.5278
K5 0.8718 0.8718 0.9531
Rb1 0.4095 0.4095 0.2891
Rb2 0.5905 0.5905 0.7109
```

Top 12 peaks for 2θ from 10° to 80°, in order of rising 2θ:
2theta	Rel. int.
19.97	52
21.61	50
22.11	100
24.14	54
24.33	53
29.39	22
30.49	18
35.57	26
38.18	21
42.10	15
43.77	31
45.08	16

=====

Structure and simulated powder diffraction line list of Cs3KRb3 (a structure optimized by DFT (GGA-PBE); Cu Kα X-rays).

Structure:
```
data_Cs3KRb3
_chemical_formula_sum 'Cs6 K2 Rb6'
_symmetry_space_group_name_H-M 'P 1'
_symmetry_Int_Tables_number 1
_cell_length_a 11.6445
_cell_length_b 11.6445
_cell_length_c 10.6809
_cell_angle_alpha 90.02
_cell_angle_beta 90.02
_cell_angle_gamma 88.16
loop_
_symmetry_equiv_pos_as_xyz
'x,y,z'
loop_
_atom_site_label
_atom_site_fract_x
_atom_site_fract_y
_atom_site_fract_z
Cs1 0.9999 0.9999 0.2480
Cs2 0.0001 0.0001 0.7520
Cs3 0.0007 0.4988 0.2441
Cs4 0.4988 0.0007 0.2441
Cs5 0.5012 0.9993 0.7559
Cs6 0.9993 0.5012 0.7559
K1 0.2605 0.2605 0.9984
K2 0.7395 0.7395 0.0016
Rb1 0.2843 0.2843 0.5015
Rb2 0.2964 0.7036 0.5000
Rb3 0.3375 0.6625 0.0000
Rb4 0.6625 0.3375 0.0000
Rb5 0.7036 0.2964 0.5000
Rb6 0.7157 0.7157 0.4985
```

Top 12 peaks for 2θ from 10° to 80°, in order of rising 2θ:
2theta	Rel. int.
17.26	18
18.28	21
21.24	33
21.94	17
22.60	100
22.92	15
30.73	13
33.56	12
38.06	22
38.89	10
40.06	13
46.14	10